No. 1
Starting from a PBE-relaxed structure, the X-ray diffraction stick pattern of K4Br2N was calculated for Cu Kα, 1.54184 Å.
No peak broadening, texture or thermal motion is included.

Peak list (10 most intense, 2θ = 5–70°, by angle)
22.9 deg, d 3.886, intensity 23, hkl 1 0 3
23.9 deg, d 3.720, intensity 49, hkl 1 1 0
26.1 deg, d 3.417, intensity 53, hkl 1 1 2
31.0 deg, d 2.883, intensity 40, hkl 0 0 6
31.7 deg, d 2.820, intensity 100, hkl 1 1 4
34.1 deg, d 2.630, intensity 70, hkl 2 0 0
46.8 deg, d 1.943, intensity 42, hkl 2 0 6
49.0 deg, d 1.860, intensity 23, hkl 2 2 0
58.9 deg, d 1.568, intensity 19, hkl 1 1 10
59.5 deg, d 1.553, intensity 30, hkl 3 1 4

Atomic structure:
```
data_K4Br2N
_space_group_name_H-M_alt 'I 4/m m m'
_space_group_IT_number 139
_space_group_name_Hall '-I 4 2'
_cell_length_a 5.260
_cell_length_b 5.260
_cell_length_c 17.292
_cell_angle_alpha 90.00
_cell_angle_beta 90.00
_cell_angle_gamma 90.00
loop_
_atom_site_label
_atom_site_fract_x
_atom_site_fract_y
_atom_site_fract_z
K1 0.000 0.000 0.161
K2 0.000 0.500 0.000
Br1 0.000 0.000 0.355
N1 0.000 0.000 0.000
```


No. 2
Starting from a PBE-relaxed structure, the X-ray diffraction stick pattern of Ba2NpTc2N6 was calculated for Cu Kα, 1.54184 Å.
No peak broadening, texture or thermal motion is included.

Peak list (10 most intense, 2θ = 5–70°, by angle)
26.3 deg, d 3.383, intensity 42, hkl 1 0 4
29.0 deg, d 3.083, intensity 100, hkl 1 1 0
30.6 deg, d 2.926, intensity 55, hkl 0 1 5
39.6 deg, d 2.279, intensity 24, hkl 0 2 4
42.6 deg, d 2.122, intensity 21, hkl 2 0 5
49.8 deg, d 1.832, intensity 16, hkl 2 1 4
51.3 deg, d 1.780, intensity 21, hkl 3 0 0
52.3 deg, d 1.748, intensity 25, hkl 1 2 5
55.9 deg, d 1.644, intensity 31, hkl 1 1 9
60.0 deg, d 1.541, intensity 16, hkl 2 2 0

Atomic structure:
```
data_Ba2NpTc2N6
_space_group_name_H-M_alt 'R -3 m'
_space_group_IT_number 166
_space_group_name_Hall '-R 3 2"'
_cell_length_a 6.1655
_cell_length_b 6.1655
_cell_length_c 17.4902
_cell_angle_alpha 90.00
_cell_angle_beta 90.00
_cell_angle_gamma 120.00
loop_
_atom_site_label
_atom_site_fract_x
_atom_site_fract_y
_atom_site_fract_z
Ba1 0.0000 0.0000 0.2241
Np1 0.0000 0.0000 0.0000
Tc1 0.0000 0.0000 0.4327
N1 0.0044 0.5022 0.7412
```


No. 3
Starting from a PBE-relaxed structure, the X-ray diffraction stick pattern of Na2TlP3H7N3O8 was calculated for Cu Kα, 1.54184 Å.
No peak broadening, texture or thermal motion is included.

Peak list (10 most intense, 2θ = 5–70°, by angle)
11.3 deg, d 7.855, intensity 76, hkl 1 0 0
14.7 deg, d 6.035, intensity 85, hkl 1 0 1
19.9 deg, d 4.456, intensity 81, hkl -1 1 1
21.3 deg, d 4.176, intensity 73, hkl 1 -1 1
22.9 deg, d 3.877, intensity 87, hkl 0 2 0
23.1 deg, d 3.856, intensity 100, hkl 2 1 0
26.5 deg, d 3.364, intensity 75, hkl -1 1 2
27.8 deg, d 3.209, intensity 77, hkl 1 2 -1
29.7 deg, d 3.008, intensity 78, hkl 2 -1 1
31.4 deg, d 2.850, intensity 93, hkl 0 1 3

Atomic structure:
```
data_Na2TlP3H7N3O8
_space_group_name_H-M_alt 'P -1'
_space_group_IT_number 2
_cell_length_a 8.124
_cell_length_b 8.151
_cell_length_c 8.759
_cell_angle_alpha 76.99
_cell_angle_beta 82.20
_cell_angle_gamma 76.05
loop_
_space_group_symop_operation_xyz
'x,y,z'
'-x,-y,-z'
loop_
_atom_site_label
_atom_site_fract_x
_atom_site_fract_y
_atom_site_fract_z
Na1 0.072 0.001 0.165
Na2 0.150 0.151 0.497
Tl1 0.358 0.284 0.060
P1 0.216 0.585 0.362
P2 0.243 0.716 0.648
P3 0.442 0.830 0.348
H1 0.003 0.304 0.887
H2 0.076 0.650 0.949
H3 0.243 0.438 0.620
H4 0.261 0.841 0.892
H5 0.282 0.034 0.837
H6 0.471 0.282 0.404
H7 0.494 0.571 0.268
N1 0.209 0.563 0.560
N2 0.390 0.667 0.285
N3 0.416 0.782 0.548
O1 0.029 0.295 0.996
O2 0.060 0.716 0.303
O3 0.092 0.867 0.627
O4 0.226 0.955 0.921
O5 0.250 0.403 0.331
O6 0.290 0.630 0.814
O7 0.316 0.996 0.292
O8 0.368 0.183 0.697
```